No. 1
Diffraction record for NaUSnO6. The XRD peak list is computed, not measured: it uses a GGA-PBE-relaxed structure and Cu Kα.

Crystal structure
Lattice parameters (Å, degrees): 5.5756 5.5756 10.2435 90.00 90.00 120.00
Space group P-31c (No. 163)
Asymmetric unit:
Na (0.0000, 0.0000, 0.0000) [2 per cell]
U (0.3333, 0.6667, 0.2500) [2 per cell]
Sn (0.3333, 0.6667, 0.7500) [2 per cell]
O (0.0024, 0.3661, 0.1425) [12 per cell]

Peak list (6 most intense, 10 to 90 degrees two-theta, in order of rising 2θ)
| d [Å] | 2θ/deg | intensity |
| --- | --- | --- |
| 5.122 | 17.31 | 100 |
| 4.829 | 18.37 | 56 |
| 3.513 | 25.35 | 83 |
| 2.788 | 32.11 | 68 |
| 2.449 | 36.70 | 83 |
| 1.886 | 48.26 | 66 |

No. 2
Diffraction record for Ca2HgH. The XRD peak list is computed, not measured: it uses a GGA-PBE-relaxed structure and Cu Kα.

Crystal structure
Lattice parameters (Å, degrees): 6.3060 6.2368 11.1938 90.00 117.25 90.00
Space group P2/c (No. 13)
Asymmetric unit:
Ca (0.0003, 0.2495, 0.0748) [4 per cell]
Ca (0.3080, 0.1824, 0.8376) [4 per cell]
Hg (0.4468, 0.3319, 0.3661) [4 per cell]
H (0.0141, 0.1079, 0.6233) [4 per cell]

Peak list (6 most intense, 10 to 90 degrees two-theta, in order of rising 2θ)
| d [Å] | 2θ/deg | intensity |
| --- | --- | --- |
| 5.606 | 15.81 | 100 |
| 5.285 | 16.78 | 92 |
| 2.976 | 30.03 | 44 |
| 2.800 | 31.97 | 63 |
| 2.623 | 34.19 | 44 |
| 2.489 | 36.08 | 68 |

What is the formula in the second record?
Ca2HgH